Diffraction record for Tl2PdO4. The powder XRD pattern is simulated, not measured: it uses the PBE geometry in OQMD and Cu Kα (λ = 1.5418 Å).
Peak positions follow from Bragg's law for the DFT cell and can differ from measured ones.

Crystal structure
abc: 8.1469 8.1469 6.0048
angles: 90.00 90.00 90.00
Space group P4/ncc (No. 130, origin choice 2)
Unique sites:
Tl1 0.0787 0.5787 0.2500 x8
Pd1 0.2500 0.2500 0.0537 x4
O1 0.0124 0.1791 0.5750 x16

Most intense lines, 2θ from 10° to 90°, sorted by position:
- 2θ = 21.82°, intensity 9, hkl 2 0 0
- 2θ = 28.66°, intensity 100, hkl 2 1 1
- 2θ = 29.76°, intensity 11, hkl 0 0 2
- 2θ = 33.66°, intensity 13, hkl 1 1 2
- 2θ = 34.82°, intensity 32, hkl 3 1 0
- 2θ = 37.20°, intensity 28, hkl 2 0 2
- 2θ = 48.50°, intensity 35, hkl 4 1 1
- 2θ = 52.14°, intensity 24, hkl 2 1 3
- 2θ = 56.92°, intensity 22, hkl 3 3 2
- 2θ = 63.40°, intensity 10, hkl 5 2 1
- 2θ = 66.49°, intensity 10, hkl 4 1 3
- 2θ = 81.31°, intensity 11, hkl 3 3 4

***

Diffraction record for Tl2Pd3O2. The powder XRD pattern is simulated, not measured: it uses the PBE geometry in OQMD and Cu Kα (λ = 1.5418 Å).
Peak positions follow from Bragg's law for the DFT cell and can differ from measured ones.

Crystal structure
abc: 5.8540 5.8540 13.3568
angles: 90.00 90.00 120.00
Space group R-3m (No. 166, hexagonal axes)
Unique sites:
Tl1 0.0000 0.0000 0.0000 x3
Tl2 0.0000 0.0000 0.5000 x3
Pd1 0.0000 0.5000 0.0000 x9
O1 0.0000 0.0000 0.2438 x6

Most intense lines, 2θ from 10° to 90°, sorted by position:
- 2θ = 19.94°, intensity 38, hkl 0 0 3
- 2θ = 22.01°, intensity 53, hkl 0 1 2
- 2θ = 30.54°, intensity 39, hkl 1 1 0
- 2θ = 32.10°, intensity 34, hkl 1 0 4
- 2θ = 36.06°, intensity 26, hkl 0 2 1
- 2θ = 37.97°, intensity 100, hkl 2 0 2
- 2θ = 40.52°, intensity 28, hkl 0 0 6
- 2θ = 44.89°, intensity 74, hkl 0 2 4
- 2θ = 49.53°, intensity 24, hkl 2 0 5
- 2θ = 63.57°, intensity 26, hkl 2 2 0
- 2θ = 67.13°, intensity 22, hkl 2 0 8
- 2θ = 78.16°, intensity 25, hkl 2 2 6

***

Diffraction record for TmPdO3. The powder XRD pattern is simulated, not measured: it uses the PBE geometry in OQMD and Cu Kα (λ = 1.5418 Å).
Peak positions follow from Bragg's law for the DFT cell and can differ from measured ones.

Crystal structure
abc: 5.2670 8.6136 5.2798
angles: 90.00 90.00 90.00
Space group Imma (No. 74)
Unique sites:
Tm1 0.0000 0.2500 0.0268 x4
Pd1 0.0000 0.0000 0.5000 x4
O1 0.0000 0.2500 0.6167 x4
O2 0.2500 0.0892 0.2500 x8

Most intense lines, 2θ from 10° to 90°, sorted by position:
- 2θ = 31.74°, intensity 100, hkl 1 2 1
- 2θ = 34.01°, intensity 37, hkl 2 0 0
- 2θ = 39.59°, intensity 4, hkl 1 1 2
- 2θ = 40.11°, intensity 5, hkl 2 2 0
- 2θ = 41.96°, intensity 13, hkl 0 4 0
- 2θ = 48.85°, intensity 20, hkl 2 0 2
- 2θ = 55.06°, intensity 27, hkl 2 4 0
- 2θ = 59.38°, intensity 17, hkl 1 2 3
- 2θ = 59.49°, intensity 17, hkl 3 2 1
- 2θ = 66.31°, intensity 11, hkl 2 4 2
- 2θ = 70.26°, intensity 10, hkl 1 6 1
- 2θ = 80.41°, intensity 7, hkl 3 2 3

***

Diffraction record for Pm2O3. The powder XRD pattern is simulated, not measured: it uses the PBE geometry in OQMD and Cu Kα (λ = 1.5418 Å).
Peak positions follow from Bragg's law for the DFT cell and can differ from measured ones.

Crystal structure
abc: 10.9885 10.9885 10.9885
angles: 90.00 90.00 90.00
Space group Ia-3 (No. 206)
Unique sites:
Pm1 0.0000 0.2500 0.4687 x24
Pm2 0.2500 0.2500 0.2500 x8
O1 0.1094 0.1501 0.6211 x48

Most intense lines, 2θ from 10° to 90°, sorted by position:
- 2θ = 19.79°, intensity 9, hkl 2 1 1
- 2θ = 28.13°, intensity 100, hkl 2 2 2
- 2θ = 32.60°, intensity 34, hkl 4 0 0
- 2θ = 34.63°, intensity 5, hkl 4 1 1
- 2θ = 41.92°, intensity 8, hkl 4 1 3
- 2θ = 46.77°, intensity 40, hkl 4 4 0
- 2θ = 55.47°, intensity 33, hkl 6 2 2
- 2θ = 56.83°, intensity 6, hkl 6 1 3
- 2θ = 58.16°, intensity 7, hkl 4 4 4
- 2θ = 75.41°, intensity 9, hkl 6 6 2
- 2θ = 77.73°, intensity 7, hkl 8 4 0
- 2θ = 86.85°, intensity 6, hkl 8 4 4

***

Diffraction record for RbPmSO. The powder XRD pattern is simulated, not measured: it uses the PBE geometry in OQMD and Cu Kα (λ = 1.5418 Å).
Peak positions follow from Bragg's law for the DFT cell and can differ from measured ones.

Crystal structure
abc: 7.8595 7.5978 6.7141
angles: 90.00 104.16 90.00
Space group P2_1/c (No. 14)
Unique sites:
Rb1 0.0798 0.2420 0.0064 x4
Pm1 0.4731 0.6276 0.2709 x4
S1 0.2557 0.5897 0.8488 x4
O1 0.3959 0.1468 0.8797 x4

Most intense lines, 2θ from 10° to 90°, sorted by position:
- 2θ = 11.61°, intensity 100, hkl 1 0 0
- 2θ = 23.36°, intensity 88, hkl 2 0 0
- 2θ = 26.18°, intensity 60, hkl 2 1 0
- 2θ = 27.03°, intensity 57, hkl 1 0 -2
- 2θ = 27.18°, intensity 47, hkl 0 2 1
- 2θ = 28.26°, intensity 91, hkl 1 2 -1
- 2θ = 30.97°, intensity 32, hkl 1 2 1
- 2θ = 32.45°, intensity 85, hkl 1 0 2
- 2θ = 33.78°, intensity 56, hkl 2 2 -1
- 2θ = 38.35°, intensity 41, hkl 2 2 1
- 2θ = 41.12°, intensity 32, hkl 3 1 -2
- 2θ = 49.45°, intensity 40, hkl 1 4 0

***

Diffraction record for RbPmSeO. The powder XRD pattern is simulated, not measured: it uses the PBE geometry in OQMD and Cu Kα (λ = 1.5418 Å).
Peak positions follow from Bragg's law for the DFT cell and can differ from measured ones.

Crystal structure
abc: 8.1344 7.6972 6.8112
angles: 90.00 102.30 90.00
Space group P2_1/c (No. 14)
Unique sites:
Rb1 0.0861 0.2267 0.4921 x4
Pm1 0.4741 0.6285 0.7782 x4
Se1 0.2477 0.5879 0.3560 x4
O1 0.4089 0.1478 0.3836 x4

Most intense lines, 2θ from 10° to 90°, sorted by position:
- 2θ = 11.13°, intensity 79, hkl 1 0 0
- 2θ = 22.37°, intensity 37, hkl 2 0 0
- 2θ = 26.24°, intensity 36, hkl 2 1 -1
- 2θ = 26.76°, intensity 41, hkl 1 0 -2
- 2θ = 27.91°, intensity 100, hkl 1 2 -1
- 2θ = 29.21°, intensity 32, hkl 1 1 -2
- 2θ = 31.28°, intensity 93, hkl 1 0 2
- 2θ = 33.20°, intensity 47, hkl 2 2 -1
- 2θ = 35.66°, intensity 45, hkl 3 1 -1
- 2θ = 37.01°, intensity 54, hkl 2 2 1
- 2θ = 47.27°, intensity 34, hkl 0 2 3
- 2θ = 48.68°, intensity 32, hkl 1 4 0

***

Diffraction record for RbPmSeO. The powder XRD pattern is simulated, not measured: it uses the PBE geometry in OQMD and Cu Kα (λ = 1.5418 Å).
Peak positions follow from Bragg's law for the DFT cell and can differ from measured ones.

Crystal structure
abc: 5.9614 5.9633 12.1456
angles: 90.00 102.61 90.00
Space group P2_1 (No. 4)
Unique sites:
Rb1 0.0467 0.0000 0.1055 x2
Rb2 0.4517 0.0011 0.8946 x2
Pm1 0.0424 0.2741 0.5905 x2
Pm2 0.4574 0.2737 0.4096 x2
Se1 0.0985 0.4988 0.2220 x2
Se2 0.4023 0.4991 0.7773 x2
O1 0.2499 0.0260 0.5000 x2
O2 0.2497 0.5273 0.4998 x2

Most intense lines, 2θ from 10° to 90°, sorted by position:
- 2θ = 23.73°, intensity 46, hkl 1 1 1
- 2θ = 24.12°, intensity 47, hkl 1 1 -2
- 2θ = 28.05°, intensity 72, hkl 1 1 2
- 2θ = 28.61°, intensity 100, hkl 1 1 -3
- 2θ = 30.74°, intensity 44, hkl 2 0 0
- 2θ = 30.93°, intensity 70, hkl 0 2 1
- 2θ = 31.15°, intensity 28, hkl 2 0 -2
- 2θ = 33.62°, intensity 88, hkl 1 1 3
- 2θ = 34.29°, intensity 48, hkl 1 1 -4
- 2θ = 42.91°, intensity 85, hkl 2 2 -1
- 2θ = 62.31°, intensity 37, hkl 4 0 -2
- 2θ = 71.00°, intensity 22, hkl 4 2 -1

***

Diffraction record for PmRe2O4. The powder XRD pattern is simulated, not measured: it uses the PBE geometry in OQMD and Cu Kα (λ = 1.5418 Å).
Peak positions follow from Bragg's law for the DFT cell and can differ from measured ones.

Crystal structure
abc: 9.1035 9.1035 9.1035
angles: 90.00 90.00 90.00
Space group Fd-3m (No. 227, origin choice 2)
Unique sites:
Pm1 0.1250 0.1250 0.1250 x8
Re1 0.0000 0.0000 0.5000 x16
O1 0.0194 0.0194 0.7306 x32

Most intense lines, 2θ from 10° to 90°, sorted by position:
- 2θ = 16.87°, intensity 17, hkl 1 1 1
- 2θ = 27.72°, intensity 22, hkl 2 2 0
- 2θ = 32.62°, intensity 100, hkl 3 1 1
- 2θ = 34.12°, intensity 34, hkl 2 2 2
- 2θ = 39.60°, intensity 14, hkl 4 0 0
- 2θ = 49.02°, intensity 8, hkl 4 2 2
- 2θ = 52.21°, intensity 40, hkl 5 1 1
- 2θ = 57.25°, intensity 39, hkl 4 4 0
- 2θ = 67.46°, intensity 13, hkl 5 3 3
- 2θ = 68.35°, intensity 17, hkl 6 2 2
- 2θ = 81.15°, intensity 22, hkl 5 5 3
- 2θ = 85.29°, intensity 6, hkl 8 0 0